No. 1
For Ta, the GGA-PBE geometry in the Materials Project gives the simulated XRD peak list in this record (a wavelength of 1.5418 Å).

Structural model:
a = 10.2496 Å, b = 10.2496 Å, c = 5.3442 Å
α = 90.00°, β = 90.00°, γ = 90.00°
Fractional coordinates of all 30 atoms:
Ta: 0.0000 0.0000 0.0000
Ta: 0.0347 0.3710 0.5000
Ta: 0.0672 0.2611 0.0000
Ta: 0.1047 0.1047 0.5000
Ta: 0.1290 0.5347 0.0000
Ta: 0.1814 0.8186 0.2500
Ta: 0.1814 0.8186 0.7500
Ta: 0.2389 0.5672 0.5000
Ta: 0.2611 0.0672 0.0000
Ta: 0.3186 0.3186 0.2500
Ta: 0.3186 0.3186 0.7500
Ta: 0.3710 0.0347 0.5000
Ta: 0.3953 0.6047 0.0000
Ta: 0.4328 0.7611 0.5000
Ta: 0.4653 0.8710 0.0000
Ta: 0.5000 0.5000 0.5000
Ta: 0.5347 0.1290 0.0000
Ta: 0.5672 0.2389 0.5000
Ta: 0.6047 0.3953 0.0000
Ta: 0.6290 0.9653 0.5000
Ta: 0.6814 0.6814 0.2500
Ta: 0.6814 0.6814 0.7500
Ta: 0.7389 0.9328 0.0000
Ta: 0.7611 0.4328 0.5000
Ta: 0.8186 0.1814 0.2500
Ta: 0.8186 0.1814 0.7500
Ta: 0.8710 0.4653 0.0000
Ta: 0.8953 0.8953 0.5000
Ta: 0.9328 0.7389 0.0000
Ta: 0.9653 0.6290 0.5000

The 10 most intense peaks (10 to 80 degrees two-theta), in order of rising 2θ:
- 2θ 33.54, I = 20
- 2θ 36.13, I = 77
- 2θ 37.22, I = 37
- 2θ 37.98, I = 32
- 2θ 39.02, I = 66
- 2θ 40.00, I = 100
- 2θ 41.00, I = 47
- 2θ 63.33, I = 22
- 2θ 64.32, I = 32
- 2θ 66.40, I = 18


No. 2
For Nd2ZnIr, the GGA-PBE geometry in the Materials Project gives the simulated XRD peak list in this record (a wavelength of 1.5418 Å).

Structural model:
a = 5.1005 Å, b = 5.1005 Å, c = 5.1005 Å
α = 60.00°, β = 60.00°, γ = 60.00°
Fractional coordinates of all 4 atoms:
Nd: 0.2500 0.2500 0.2500
Nd: 0.7500 0.7500 0.7500
Zn: 0.0000 0.0000 0.0000
Ir: 0.5000 0.5000 0.5000

The 9 most intense peaks (10 to 80 degrees two-theta), in order of rising 2θ:
- 2θ 21.34, I = 10
- 2θ 35.19, I = 100
- 2θ 41.52, I = 6
- 2θ 50.62, I = 18
- 2θ 55.53, I = 3
- 2θ 63.15, I = 37
- 2θ 67.47, I = 2
- 2θ 74.40, I = 11
- 2θ 78.44, I = 2


No. 3
For PRhO10, the GGA-PBE geometry in the Materials Project gives the simulated XRD peak list in this record (a wavelength of 1.5418 Å).

Structural model:
a = 6.1409 Å, b = 6.1409 Å, c = 24.7192 Å
α = 99.52°, β = 99.52°, γ = 65.95°
Fractional coordinates of all 48 atoms:
P: 0.0698 0.1911 0.3798
P: 0.1911 0.0698 0.8798
P: 0.8089 0.9302 0.1202
P: 0.9302 0.8089 0.6202
Rh: 0.4428 0.5572 0.2500
Rh: 0.5000 0.5000 0.0000
Rh: 0.5000 0.5000 0.5000
Rh: 0.5572 0.4428 0.7500
O: 0.0382 0.9268 0.6713
O: 0.0648 0.0806 0.4307
O: 0.0675 0.5345 0.6116
O: 0.0732 0.9618 0.8287
O: 0.0806 0.0648 0.9307
O: 0.1486 0.3279 0.8706
O: 0.1488 0.6098 0.2781
O: 0.1877 0.6107 0.9581
O: 0.2605 0.4958 0.7771
O: 0.2889 0.4000 0.1920
O: 0.3011 0.3543 0.5181
O: 0.3279 0.1486 0.3706
O: 0.3543 0.3011 0.0181
O: 0.3636 0.5919 0.4271
O: 0.3893 0.8123 0.5419
O: 0.3902 0.8512 0.2219
O: 0.4000 0.2889 0.6920
O: 0.4081 0.6364 0.0729
O: 0.4655 0.9325 0.8884
O: 0.4958 0.2605 0.2771
O: 0.5042 0.7395 0.7229
O: 0.5345 0.0675 0.1116
O: 0.5919 0.3636 0.9271
O: 0.6000 0.7111 0.3080
O: 0.6098 0.1488 0.7781
O: 0.6107 0.1877 0.4581
O: 0.6364 0.4081 0.5729
O: 0.6457 0.6989 0.9819
O: 0.6721 0.8514 0.6294
O: 0.6989 0.6457 0.4819
O: 0.7111 0.6000 0.8080
O: 0.7395 0.5042 0.2229
O: 0.8123 0.3893 0.0419
O: 0.8512 0.3902 0.7219
O: 0.8514 0.6721 0.1294
O: 0.9194 0.9352 0.0693
O: 0.9268 0.0382 0.1713
O: 0.9325 0.4655 0.3884
O: 0.9352 0.9194 0.5693
O: 0.9618 0.0732 0.3287

The 10 most intense peaks (10 to 80 degrees two-theta), in order of rising 2θ:
- 2θ 14.62, I = 26
- 2θ 15.90, I = 62
- 2θ 17.57, I = 38
- 2θ 20.33, I = 14
- 2θ 20.44, I = 100
- 2θ 20.55, I = 23
- 2θ 22.82, I = 57
- 2θ 25.08, I = 20
- 2θ 26.67, I = 19
- 2θ 32.10, I = 22


No. 4
For Na2Pr2MgTi2O8, the GGA-PBE geometry in the Materials Project gives the simulated XRD peak list in this record (a wavelength of 1.5418 Å).

Structural model:
a = 3.6970 Å, b = 3.6970 Å, c = 16.5892 Å
α = 90.00°, β = 90.00°, γ = 90.00°
Fractional coordinates of all 15 atoms:
Na: 0.0000 0.0000 0.0000
Na: 0.5000 0.5000 0.1283
Pr: 0.0000 0.0000 0.7465
Pr: 0.5000 0.5000 0.5747
Mg: 0.5000 0.5000 0.3491
Ti: 0.0000 0.0000 0.2488
Ti: 0.5000 0.5000 0.8819
O: 0.0000 0.0000 0.1416
O: 0.0000 0.0000 0.5990
O: 0.0000 0.5000 0.2863
O: 0.0000 0.5000 0.8477
O: 0.5000 0.0000 0.2863
O: 0.5000 0.0000 0.8477
O: 0.5000 0.5000 0.7123
O: 0.5000 0.5000 0.9890

The 10 most intense peaks (10 to 80 degrees two-theta), in order of rising 2θ:
- 2θ 10.67, I = 59
- 2θ 26.39, I = 85
- 2θ 29.05, I = 59
- 2θ 32.43, I = 100
- 2θ 34.30, I = 73
- 2θ 34.74, I = 23
- 2θ 44.10, I = 32
- 2θ 47.89, I = 27
- 2θ 49.30, I = 41
- 2θ 60.25, I = 40


No. 5
For SbPbO3, the GGA-PBE geometry in the Materials Project gives the simulated XRD peak list in this record (a wavelength of 1.5418 Å).

Structural model:
a = 4.2166 Å, b = 4.2166 Å, c = 4.2166 Å
α = 90.00°, β = 90.00°, γ = 90.00°
Fractional coordinates of all 5 atoms:
Sb: 0.0000 0.0000 0.0000
Pb: 0.5000 0.5000 0.5000
O: 0.0000 0.0000 0.5000
O: 0.0000 0.5000 0.0000
O: 0.5000 0.0000 0.0000

The 10 most intense peaks (10 to 80 degrees two-theta), in order of rising 2θ:
- 2θ 21.07, I = 5
- 2θ 29.97, I = 100
- 2θ 36.92, I = 7
- 2θ 42.90, I = 28
- 2θ 48.26, I = 3
- 2θ 53.21, I = 42
- 2θ 62.28, I = 18
- 2θ 70.64, I = 18
- 2θ 74.66, I = 3
- 2θ 78.60, I = 6


No. 6
For SnPH5NO4F, the GGA-PBE geometry in the Materials Project gives the simulated XRD peak list in this record (a wavelength of 1.5418 Å).

Structural model:
a = 6.7575 Å, b = 5.3970 Å, c = 15.4600 Å
α = 90.00°, β = 90.00°, γ = 90.00°
Fractional coordinates of all 52 atoms:
Sn: 0.1581 0.2500 0.1966
Sn: 0.3419 0.7500 0.6966
Sn: 0.6581 0.2500 0.3034
Sn: 0.8419 0.7500 0.8034
P: 0.1170 0.2500 0.8366
P: 0.3830 0.7500 0.3366
P: 0.6170 0.2500 0.6634
P: 0.8830 0.7500 0.1634
H: 0.0545 0.7500 0.3293
H: 0.0743 0.2500 0.4626
H: 0.1768 0.7500 0.9517
H: 0.2195 0.0931 0.5337
H: 0.2195 0.4069 0.5337
H: 0.2805 0.5931 0.0337
H: 0.2805 0.9069 0.0337
H: 0.3232 0.2500 0.4517
H: 0.4257 0.7500 0.9626
H: 0.4455 0.2500 0.8293
H: 0.5545 0.7500 0.1707
H: 0.5743 0.2500 0.0374
H: 0.6768 0.7500 0.5483
H: 0.7195 0.0931 0.9663
H: 0.7195 0.4069 0.9663
H: 0.7805 0.5931 0.4663
H: 0.7805 0.9069 0.4663
H: 0.8232 0.2500 0.0483
H: 0.9257 0.7500 0.5374
H: 0.9455 0.2500 0.6707
N: 0.2085 0.2500 0.4958
N: 0.2915 0.7500 0.9958
N: 0.7085 0.2500 0.0042
N: 0.7915 0.7500 0.5042
O: 0.0145 0.0167 0.8752
O: 0.0145 0.4833 0.8752
O: 0.1245 0.2500 0.7376
O: 0.1635 0.7500 0.3748
O: 0.3365 0.2500 0.8748
O: 0.3755 0.7500 0.2376
O: 0.4855 0.5167 0.3752
O: 0.4855 0.9833 0.3752
O: 0.5145 0.0167 0.6248
O: 0.5145 0.4833 0.6248
O: 0.6245 0.2500 0.7624
O: 0.6635 0.7500 0.1252
O: 0.8365 0.2500 0.6252
O: 0.8755 0.7500 0.2624
O: 0.9855 0.5167 0.1248
O: 0.9855 0.9833 0.1248
F: 0.1598 0.7500 0.5859
F: 0.3402 0.2500 0.0859
F: 0.6598 0.7500 0.9141
F: 0.8402 0.2500 0.4141

The 10 most intense peaks (10 to 80 degrees two-theta), in order of rising 2θ:
- 2θ 11.45, I = 95
- 2θ 17.41, I = 43
- 2θ 21.69, I = 48
- 2θ 21.85, I = 25
- 2θ 27.33, I = 100
- 2θ 31.23, I = 35
- 2θ 33.20, I = 31
- 2θ 33.37, I = 48
- 2θ 35.24, I = 18
- 2θ 56.14, I = 23


No. 7
For K2RbTmCl6, the GGA-PBE geometry in the Materials Project gives the simulated XRD peak list in this record (a wavelength of 1.5418 Å).

Structural model:
a = 8.0533 Å, b = 8.0533 Å, c = 8.0533 Å
α = 60.00°, β = 60.00°, γ = 60.00°
Fractional coordinates of all 10 atoms:
K: 0.2500 0.2500 0.2500
K: 0.7500 0.7500 0.7500
Rb: 0.0000 0.0000 0.0000
Tm: 0.5000 0.5000 0.5000
Cl: 0.2720 0.2720 0.7280
Cl: 0.2720 0.7280 0.2720
Cl: 0.2720 0.7280 0.7280
Cl: 0.7280 0.2720 0.2720
Cl: 0.7280 0.2720 0.7280
Cl: 0.7280 0.7280 0.2720

The 10 most intense peaks (10 to 80 degrees two-theta), in order of rising 2θ:
- 2θ 13.47, I = 36
- 2θ 15.56, I = 97
- 2θ 22.08, I = 100
- 2θ 31.42, I = 84
- 2θ 35.24, I = 47
- 2θ 38.73, I = 43
- 2θ 45.03, I = 56
- 2θ 47.92, I = 24
- 2θ 50.69, I = 25
- 2θ 60.87, I = 26


No. 8
For ThAlNi, the GGA-PBE geometry in the Materials Project gives the simulated XRD peak list in this record (a wavelength of 1.5418 Å).

Structural model:
a = 7.0515 Å, b = 7.0515 Å, c = 4.0659 Å
α = 90.00°, β = 90.00°, γ = 120.00°
Fractional coordinates of all 9 atoms:
Th: 0.0000 0.4233 0.0000
Th: 0.4233 0.0000 0.0000
Th: 0.5767 0.5767 0.0000
Al: 0.0000 0.7707 0.5000
Al: 0.2293 0.2293 0.5000
Al: 0.7707 0.0000 0.5000
Ni: 0.0000 0.0000 0.0000
Ni: 0.3333 0.6667 0.5000
Ni: 0.6667 0.3333 0.5000

The 10 most intense peaks (10 to 80 degrees two-theta), in order of rising 2θ:
- 2θ 21.86, I = 41
- 2θ 25.26, I = 40
- 2θ 29.25, I = 46
- 2θ 33.65, I = 92
- 2θ 36.81, I = 100
- 2θ 39.02, I = 31
- 2θ 44.55, I = 32
- 2θ 54.17, I = 47
- 2θ 59.09, I = 44
- 2θ 72.66, I = 25


No. 9
For RbAgP2O6, the GGA-PBE geometry in the Materials Project gives the simulated XRD peak list in this record (a wavelength of 1.5418 Å).

Structural model:
a = 6.3099 Å, b = 13.5666 Å, c = 7.6552 Å
α = 90.00°, β = 95.24°, γ = 90.00°
Fractional coordinates of all 40 atoms:
Rb: 0.2074 0.1690 0.2668
Rb: 0.2074 0.3310 0.7668
Rb: 0.7926 0.6690 0.2332
Rb: 0.7926 0.8310 0.7332
Ag: 0.3139 0.0285 0.6970
Ag: 0.3139 0.4715 0.1970
Ag: 0.6861 0.5285 0.8030
Ag: 0.6861 0.9715 0.3030
P: 0.1900 0.6331 0.8480
P: 0.1900 0.8669 0.3480
P: 0.3462 0.6731 0.4957
P: 0.3462 0.8269 0.9957
P: 0.6538 0.1731 0.0043
P: 0.6538 0.3269 0.5043
P: 0.8100 0.1331 0.6520
P: 0.8100 0.3669 0.1520
O: 0.0315 0.1485 0.5992
O: 0.0315 0.3515 0.0992
O: 0.1800 0.6711 0.6460
O: 0.1800 0.8289 0.1460
O: 0.2417 0.6214 0.3374
O: 0.2417 0.8786 0.8374
O: 0.2938 0.5331 0.8669
O: 0.2938 0.9669 0.3669
O: 0.3565 0.7088 0.9532
O: 0.3565 0.7912 0.4532
O: 0.4319 0.1471 0.9316
O: 0.4319 0.3529 0.4316
O: 0.5681 0.6471 0.5684
O: 0.5681 0.8529 0.0684
O: 0.6435 0.2088 0.5468
O: 0.6435 0.2912 0.0468
O: 0.7062 0.0331 0.6331
O: 0.7062 0.4669 0.1331
O: 0.7583 0.1214 0.1626
O: 0.7583 0.3786 0.6626
O: 0.8200 0.1711 0.8540
O: 0.8200 0.3289 0.3540
O: 0.9685 0.6485 0.9008
O: 0.9685 0.8515 0.4008

The 10 most intense peaks (10 to 80 degrees two-theta), in order of rising 2θ:
- 2θ 13.32, I = 17
- 2θ 23.34, I = 25
- 2θ 26.38, I = 30
- 2θ 27.04, I = 22
- 2θ 27.53, I = 100
- 2θ 28.41, I = 37
- 2θ 28.81, I = 25
- 2θ 29.39, I = 23
- 2θ 30.49, I = 27
- 2θ 35.95, I = 19


Please write out number 7 again, unchanged.
For K2RbTmCl6, the GGA-PBE geometry in the Materials Project gives the simulated XRD peak list in this record (a wavelength of 1.5418 Å).

Structural model:
a = 8.0533 Å, b = 8.0533 Å, c = 8.0533 Å
α = 60.00°, β = 60.00°, γ = 60.00°
Fractional coordinates of all 10 atoms:
K: 0.2500 0.2500 0.2500
K: 0.7500 0.7500 0.7500
Rb: 0.0000 0.0000 0.0000
Tm: 0.5000 0.5000 0.5000
Cl: 0.2720 0.2720 0.7280
Cl: 0.2720 0.7280 0.2720
Cl: 0.2720 0.7280 0.7280
Cl: 0.7280 0.2720 0.2720
Cl: 0.7280 0.2720 0.7280
Cl: 0.7280 0.7280 0.2720

The 10 most intense peaks (10 to 80 degrees two-theta), in order of rising 2θ:
- 2θ 13.47, I = 36
- 2θ 15.56, I = 97
- 2θ 22.08, I = 100
- 2θ 31.42, I = 84
- 2θ 35.24, I = 47
- 2θ 38.73, I = 43
- 2θ 45.03, I = 56
- 2θ 47.92, I = 24
- 2θ 50.69, I = 25
- 2θ 60.87, I = 26